# Pu
Computed powder diffraction line list, copper Kα. Input: a crystal structure in the Materials Project, relaxed with GGA-PBE.

Atomic structure:
```
4
Lattice="3.528 0.000 0.000 -0.054 4.543 0.000 -0.481 -1.708 4.465" Properties=species:S:1:pos:R:3 pbc="T T T"
Pu 0.151 1.126 1.108
Pu 1.093 3.387 1.126
Pu 1.900 -0.552 3.339
Pu 2.842 1.709 3.357
```

Peak list (12 most intense, 10 to 90 degrees two-theta, by angle)
- 30.6 deg, I 87
- 32.3 deg, I 50
- 33.8 deg, I 79
- 34.2 deg, I 61
- 35.5 deg, I 44
- 40.0 deg, I 85
- 40.4 deg, I 100
- 40.7 deg, I 29
- 44.9 deg, I 38
- 54.1 deg, I 36
- 55.7 deg, I 28
- 57.9 deg, I 34

***

# Pu
Computed powder diffraction line list, copper Kα. Input: a crystal structure in the Materials Project, relaxed with GGA-PBE.

Atomic structure:
```
8
Lattice="4.249 0.000 0.000 0.000 9.364 0.000 0.000 0.000 3.782" Properties=species:S:1:pos:R:3 pbc="T T T"
Pu 0.000 1.130 0.398
Pu 0.000 3.552 2.289
Pu 0.000 5.812 1.493
Pu 0.000 8.234 3.385
Pu 2.125 1.130 1.493
Pu 2.125 3.552 3.385
Pu 2.125 5.812 0.398
Pu 2.125 8.234 2.289
```

Peak list (12 most intense, 10 to 90 degrees two-theta, by angle)
- 30.4 deg, I 71
- 33.1 deg, I 100
- 38.5 deg, I 51
- 42.6 deg, I 39
- 43.2 deg, I 39
- 53.2 deg, I 31
- 54.0 deg, I 35
- 58.7 deg, I 31
- 59.2 deg, I 24
- 61.3 deg, I 30
- 71.9 deg, I 11
- 78.6 deg, I 11

***

# Pu
Computed powder diffraction line list, copper Kα. Input: a crystal structure in the Materials Project, relaxed with GGA-PBE.

Atomic structure:
```
8
Lattice="6.119 0.000 0.000 -3.060 5.299 0.000 0.000 0.000 5.183" Properties=species:S:1:pos:R:3 pbc="T T T"
Pu -1.766 3.908 1.296
Pu 0.559 1.816 1.296
Pu 0.000 3.533 3.887
Pu 1.852 0.424 3.887
Pu 1.207 4.875 1.296
Pu 3.060 1.766 1.296
Pu 2.501 3.483 3.887
Pu 4.825 1.392 3.887
```

Peak list (12 most intense, 10 to 90 degrees two-theta, by angle)
- 33.8 deg, I 20
- 34.0 deg, I 88
- 34.6 deg, I 56
- 38.1 deg, I 100
- 45.3 deg, I 17
- 51.8 deg, I 18
- 58.2 deg, I 17
- 61.7 deg, I 17
- 63.8 deg, I 20
- 64.4 deg, I 22
- 74.2 deg, I 18
- 81.3 deg, I 19

***

# Pu5Rh4
Computed powder diffraction line list, copper Kα. Input: a crystal structure in the Materials Project, relaxed with GGA-PBE.

Atomic structure:
```
36
Lattice="6.902 0.000 0.000 0.000 14.592 0.000 0.000 0.000 7.334" Properties=species:S:1:pos:R:3 pbc="T T T"
Pu 0.044 1.288 1.323
Pu 0.044 6.008 1.323
Pu 0.866 3.648 3.919
Pu 0.869 9.260 2.543
Pu 0.869 12.627 2.543
Pu 2.582 1.964 6.210
Pu 2.582 5.331 6.210
Pu 2.585 10.944 0.252
Pu 3.407 8.584 4.990
Pu 3.407 13.303 4.990
Pu 3.495 1.288 2.344
Pu 3.495 6.008 2.344
Pu 4.317 3.648 7.082
Pu 4.320 9.260 1.124
Pu 4.320 12.627 1.124
Pu 6.033 1.964 4.791
Pu 6.033 5.331 4.791
Pu 6.036 10.944 3.415
Pu 6.858 8.584 6.011
Pu 6.858 13.303 6.011
Rh 0.140 3.648 6.953
Rh 1.373 10.944 5.223
Rh 1.395 0.485 3.993
Rh 1.395 6.811 3.993
Rh 2.056 7.780 0.326
Rh 2.056 14.107 0.326
Rh 2.078 3.648 1.556
Rh 3.311 10.944 3.286
Rh 3.591 3.648 4.048
Rh 4.824 10.944 5.778
Rh 4.845 0.485 7.008
Rh 4.845 6.811 7.008
Rh 5.507 7.780 3.341
Rh 5.507 14.107 3.341
Rh 5.529 3.648 2.111
Rh 6.762 10.944 0.381
```

Peak list (12 most intense, 10 to 90 degrees two-theta, by angle)
- 28.2 deg, I 79
- 33.2 deg, I 96
- 34.1 deg, I 91
- 34.7 deg, I 60
- 35.6 deg, I 54
- 36.3 deg, I 43
- 37.1 deg, I 51
- 37.9 deg, I 100
- 39.6 deg, I 42
- 40.5 deg, I 52
- 41.1 deg, I 67
- 54.9 deg, I 38

***

# PuRh3
Computed powder diffraction line list, copper Kα. Input: a crystal structure in the Materials Project, relaxed with GGA-PBE.

Atomic structure:
```
4
Lattice="4.007 0.000 0.000 0.000 4.007 0.000 0.000 0.000 4.007" Properties=species:S:1:pos:R:3 pbc="T T T"
Pu 0.000 0.000 0.000
Rh 0.000 2.004 2.004
Rh 2.004 0.000 2.004
Rh 2.004 2.004 0.000
```

Peak list (12 most intense, 10 to 90 degrees two-theta, by angle)
- 22.2 deg, I 16
- 31.6 deg, I 14
- 38.9 deg, I 100
- 45.3 deg, I 49
- 51.0 deg, I 8
- 56.2 deg, I 6
- 65.9 deg, I 32
- 70.5 deg, I 4
- 74.9 deg, I 3
- 79.3 deg, I 38
- 83.6 deg, I 11
- 87.8 deg, I 2

***

# Pu5Rh3
Computed powder diffraction line list, copper Kα. Input: a crystal structure in the Materials Project, relaxed with GGA-PBE.

Atomic structure:
```
32
Lattice="11.153 0.000 0.000 0.000 11.153 0.000 0.000 0.000 5.635" Properties=species:S:1:pos:R:3 pbc="T T T"
Pu 0.350 1.848 0.974
Pu 0.350 3.728 3.792
Pu 1.848 0.350 3.792
Pu 1.848 5.227 0.974
Pu 2.788 8.365 0.000
Pu 2.788 8.365 2.818
Pu 3.728 0.350 0.974
Pu 3.728 5.227 3.792
Pu 5.227 1.848 3.792
Pu 5.227 3.728 0.974
Pu 5.926 7.425 4.662
Pu 5.926 9.305 1.844
Pu 7.425 5.926 1.844
Pu 7.425 10.803 4.662
Pu 8.365 2.788 0.000
Pu 8.365 2.788 2.818
Pu 9.305 5.926 4.662
Pu 9.305 10.803 1.844
Pu 10.803 7.425 1.844
Pu 10.803 9.305 4.662
Rh 0.948 6.525 4.227
Rh 0.948 10.205 1.409
Rh 2.788 2.788 2.169
Rh 2.788 2.788 4.987
Rh 4.628 6.525 1.409
Rh 4.628 10.205 4.227
Rh 6.525 0.948 1.409
Rh 6.525 4.628 4.227
Rh 8.365 8.365 0.649
Rh 8.365 8.365 3.467
Rh 10.205 0.948 4.227
Rh 10.205 4.628 1.409
```

Peak list (12 most intense, 10 to 90 degrees two-theta, by angle)
- 25.3 deg, I 18
- 29.9 deg, I 38
- 33.0 deg, I 68
- 35.7 deg, I 28
- 36.0 deg, I 77
- 36.6 deg, I 34
- 36.9 deg, I 100
- 39.3 deg, I 19
- 55.4 deg, I 32
- 58.5 deg, I 26
- 67.5 deg, I 18
- 74.6 deg, I 16

***

# PuSi2Rh2
Computed powder diffraction line list, copper Kα. Input: a crystal structure in the Materials Project, relaxed with GGA-PBE.

Atomic structure:
```
10
Lattice="4.022 0.000 0.000 0.000 4.022 0.000 0.000 0.000 10.089" Properties=species:S:1:pos:R:3 pbc="T T T"
Pu 0.000 0.000 0.000
Pu 2.011 2.011 5.044
Si 0.000 0.000 3.856
Si 0.000 0.000 6.233
Si 2.011 2.011 1.188
Si 2.011 2.011 8.900
Rh 0.000 2.011 2.522
Rh 0.000 2.011 7.566
Rh 2.011 0.000 2.522
Rh 2.011 0.000 7.566
```

Peak list (12 most intense, 10 to 90 degrees two-theta, by angle)
- 23.8 deg, I 51
- 34.8 deg, I 40
- 35.6 deg, I 20
- 36.3 deg, I 100
- 45.1 deg, I 34
- 50.6 deg, I 15
- 51.6 deg, I 14
- 58.2 deg, I 19
- 58.7 deg, I 19
- 64.4 deg, I 17
- 70.1 deg, I 12
- 77.4 deg, I 22

***

# PuRu2
Computed powder diffraction line list, copper Kα. Input: a crystal structure in the Materials Project, relaxed with GGA-PBE.

Atomic structure:
```
6
Lattice="2.593 1.497 4.343 -2.593 1.497 4.343 0.000 -2.994 4.343" Properties=species:S:1:pos:R:3 pbc="T T T"
Pu 0.000 0.000 1.714
Pu 0.000 0.000 11.314
Ru -1.296 -0.748 4.343
Ru -1.296 0.748 8.686
Ru 0.000 1.497 4.343
Ru 0.000 0.000 6.514
```

Peak list (12 most intense, 10 to 90 degrees two-theta, by angle)
- 34.0 deg, I 52
- 34.6 deg, I 51
- 40.0 deg, I 33
- 40.5 deg, I 100
- 40.8 deg, I 41
- 42.6 deg, I 18
- 61.6 deg, I 19
- 65.1 deg, I 14
- 65.6 deg, I 16
- 66.0 deg, I 24
- 71.6 deg, I 21
- 73.0 deg, I 21